Simulated PXRD pattern of Te2MoW2Se2S2 for λ = 1.5418 Å (Cu Kα), from a crystal structure in Alexandria, relaxed with PBE.
Peak positions follow from Bragg's law for the DFT cell and can differ from measured ones.

Cell and atoms:
```
Te2MoW2Se2S2
1.0
3.3499 0.0000 0.0000
-1.6750 2.9011 0.0000
0.0000 0.0000 23.1968
Te Mo W Se S
2 1 2 2 2
Cartesian
0.0000 0.0000 0.0000
0.0000 0.0000 3.8152
1.6750 0.9670 9.9718
0.0000 0.0000 17.2481
1.6750 0.9670 1.9075
1.6750 0.9670 15.5754
1.6750 0.9670 18.9206
0.0000 0.0000 8.4575
0.0000 0.0000 11.4862
```

Principal peaks in the range 2θ from 15° to 90°, low angle first:
d/Å, I (rel.), index
2.901, 60, 1 0 0
2.716, 34, 1 0 3
2.595, 56, 0 1 4
2.460, 100, 1 0 5
2.183, 62, 0 1 7
2.051, 61, 0 1 8
1.675, 46, 1 1 0
1.637, 26, 1 1 3